No. 1
Computed X-ray diffraction stick pattern
Compound: BaCaPH
Radiation: Cu Kα, 1.54184 Å
Structure: DFT lattice parameters and positions (PBE)
Intensities are scaled so that the largest is 100.

Atomic structure:
Cell lengths 4.7911, 4.7911, 10.8431 Å; angles 90.00, 90.00, 120.00 degrees
Space group P6_3mc (No. 186)
Unique sites:
Ba1 0.3333 0.6667 0.0000 x2
Ca1 0.0000 0.0000 0.2586 x2
P1 0.3333 0.6667 0.3131 x2
H1 0.0000 0.0000 0.0454 x2

Peak list (6 most intense, 10 to 90 degrees two-theta, low angle first)
index  d/Å  Rel. int.
1 0 1  3.875  100
1 0 2  3.295  55
1 0 3  2.725  69
1 1 0  2.396  52
2 0 3  1.799  19
1 1 4  1.795  31



No. 2
Computed X-ray diffraction stick pattern
Compound: BaCaH6Pt2
Radiation: Cu Kα, 1.54184 Å
Structure: DFT lattice parameters and positions (PBE)
Intensities are scaled so that the largest is 100.

Atomic structure:
Cell lengths 9.334, 8.901, 7.116 Å; angles 90.00, 110.75, 90.00 degrees
Space group C2/c (No. 15)
Unique sites:
Ba1 0.000 0.110 0.250 x4
Ca1 0.000 0.429 0.750 x4
H1 0.042 0.357 0.064 x8
H2 0.084 0.189 0.724 x8
H3 0.240 0.428 0.369 x8
Pt1 0.234 0.334 0.164 x8

Peak list (6 most intense, 10 to 90 degrees two-theta, low angle first)
index  d/Å  Rel. int.
1 1 1  4.065  56
0 0 2  3.327  32
2 2 -1  3.144  100
2 2 1  2.582  42
1 3 -2  2.278  28
3 1 -3  2.111  42



No. 3
Computed X-ray diffraction stick pattern
Compound: BaCaZn2H8
Radiation: Cu Kα, 1.54184 Å
Structure: DFT lattice parameters and positions (PBE)
Intensities are scaled so that the largest is 100.

Atomic structure:
Cell lengths 4.9387, 4.9387, 7.9875 Å; angles 90.00, 90.00, 120.00 degrees
Space group P-3 (No. 147)
Unique sites:
Ba1 0.0000 0.0000 0.0000 x1
Ca1 0.0000 0.0000 0.5000 x1
Zn1 0.3333 0.6667 0.7509 x2
H1 0.0288 0.3336 0.6969 x6
H2 0.3333 0.6667 0.9592 x2

Peak list (6 most intense, 10 to 90 degrees two-theta, low angle first)
index  d/Å  Rel. int.
1 0 1  3.771  75
1 0 2  2.919  100
1 1 0  2.469  52
0 2 2  1.885  27
1 1 4  1.553  24
2 1 2  1.498  30



No. 4
Computed X-ray diffraction stick pattern
Compound: BaCa2Hf2O7
Radiation: Cu Kα, 1.54184 Å
Structure: DFT lattice parameters and positions (PBE)
Intensities are scaled so that the largest is 100.

Atomic structure:
Cell lengths 4.341, 18.576, 4.350 Å; angles 90.00, 90.00, 90.00 degrees
Space group Imm2 (No. 44)
Unique sites:
Ba1 0.000 0.000 0.000 x2
Ca1 0.000 0.251 0.497 x4
Hf1 0.000 0.390 0.000 x4
O1 0.000 0.113 0.497 x4
O2 0.000 0.278 0.997 x4
O3 0.000 0.387 0.496 x4
O4 0.000 0.500 0.995 x2

Peak list (6 most intense, 10 to 90 degrees two-theta, low angle first)
index  d/Å  Rel. int.
1 1 0  4.231  42
1 3 0  3.557  91
1 0 1  3.073  50
0 5 1  2.824  100
2 0 0  2.173  61
2 5 1  1.722  49



No. 5
Computed X-ray diffraction stick pattern
Compound: BaCaHfSnO6
Radiation: Cu Kα, 1.54184 Å
Structure: DFT lattice parameters and positions (PBE)
Intensities are scaled so that the largest is 100.

Atomic structure:
Cell lengths 8.279, 8.279, 8.279 Å; angles 90.00, 90.00, 90.00 degrees
Space group F-43m (No. 216)
Unique sites:
Ba1 0.000 0.000 0.000 x4
Ca1 0.000 0.000 0.500 x4
Hf1 0.250 0.250 0.250 x4
Sn1 0.250 0.250 0.750 x4
O1 0.000 0.250 0.250 x24

Peak list (6 most intense, 10 to 90 degrees two-theta, low angle first)
index  d/Å  Rel. int.
2 2 0  2.927  100
4 0 0  2.070  31
4 2 2  1.690  41
4 4 0  1.464  19
6 2 0  1.309  18
6 4 2  1.106  22



No. 6
Computed X-ray diffraction stick pattern
Compound: BaCaHg6
Radiation: Cu Kα, 1.54184 Å
Structure: DFT lattice parameters and positions (PBE)
Intensities are scaled so that the largest is 100.

Atomic structure:
Cell lengths 5.354, 7.016, 12.118 Å; angles 90.00, 90.00, 90.00 degrees
Space group Amm2 (No. 38)
Unique sites:
Ba1 0.000 0.000 0.000 x2
Ca1 0.500 0.000 0.669 x2
Hg1 0.000 0.000 0.502 x2
Hg2 0.000 0.247 0.251 x4
Hg3 0.500 0.000 0.181 x2
Hg4 0.500 0.228 0.411 x4

Peak list (6 most intense, 10 to 90 degrees two-theta, low angle first)
index  d/Å  Rel. int.
0 0 4  3.034  24
2 0 0  2.677  24
1 2 2  2.639  100
2 0 4  2.007  15
3 2 2  1.538  20
2 2 6  1.465  14



No. 7
Computed X-ray diffraction stick pattern
Compound: BaCaHg
Radiation: Cu Kα, 1.54184 Å
Structure: DFT lattice parameters and positions (PBE)
Intensities are scaled so that the largest is 100.

Atomic structure:
Cell lengths 9.924, 15.578, 9.032 Å; angles 90.00, 90.00, 90.00 degrees
Space group Ima2 (No. 46)
Unique sites:
Ba1 0.250 0.000 0.000 x4
Ba2 0.250 0.206 0.382 x4
Ba3 0.250 0.706 0.883 x4
Ca1 0.000 0.000 0.346 x4
Ca2 0.001 0.121 0.709 x8
Hg1 0.001 0.166 0.088 x8
Hg2 0.250 0.501 0.088 x4

Peak list (6 most intense, 10 to 90 degrees two-theta, low angle first)
index  d/Å  Rel. int.
0 0 2  4.506  48
2 1 1  4.188  29
2 0 2  3.336  57
2 4 0  3.068  100
2 4 2  2.536  43
4 3 3  1.796  28



No. 8
Computed X-ray diffraction stick pattern
Compound: BaCaHg
Radiation: Cu Kα, 1.54184 Å
Structure: DFT lattice parameters and positions (PBE)
Intensities are scaled so that the largest is 100.

Atomic structure:
Cell lengths 4.044, 4.044, 14.064 Å; angles 90.00, 90.00, 90.00 degrees
Space group I4mm (No. 107)
Unique sites:
Ba1 0.000 0.000 0.000 x2
Ca1 0.000 0.000 0.729 x2
Hg1 0.000 0.000 0.341 x2

Peak list (6 most intense, 10 to 90 degrees two-theta, low angle first)
index  d/Å  Rel. int.
0 0 2  7.032  40
1 0 1  3.886  23
1 0 3  3.062  100
1 1 0  2.859  47
1 0 5  2.309  20
2 1 3  1.687  35



No. 9
Computed X-ray diffraction stick pattern
Compound: BaCa4Hg
Radiation: Cu Kα, 1.54184 Å
Structure: DFT lattice parameters and positions (PBE)
Intensities are scaled so that the largest is 100.

Atomic structure:
Cell lengths 3.948, 3.948, 15.372 Å; angles 90.00, 90.00, 90.00 degrees
Space group P4/mmm (No. 123)
Unique sites:
Ba1 0.000 0.000 0.000 x1
Ca1 0.000 0.000 0.386 x2
Ca2 0.500 0.500 0.206 x2
Hg1 0.500 0.500 0.500 x1

Peak list (6 most intense, 10 to 90 degrees two-theta, low angle first)
index  d/Å  Rel. int.
0 0 2  7.686  71
1 0 1  3.824  49
1 0 3  3.127  100
1 1 0  2.792  48
1 0 5  2.426  27
2 1 3  1.669  31



No. 10
Computed X-ray diffraction stick pattern
Compound: Ba2Ca2Hg15
Radiation: Cu Kα, 1.54184 Å
Structure: DFT lattice parameters and positions (PBE)
Intensities are scaled so that the largest is 100.

Atomic structure:
Cell lengths 10.2960, 10.2960, 17.6702 Å; angles 90.00, 90.00, 120.00 degrees
Space group R-3m (No. 166, hexagonal axes)
Unique sites:
Ba1 0.0000 0.0000 0.1667 x6
Ca1 0.0000 0.0000 0.4006 x6
Hg1 0.0000 0.2921 0.5000 x18
Hg2 0.0000 0.5000 0.0000 x9
Hg3 0.0155 0.5077 0.6321 x18

Peak list (6 most intense, 10 to 90 degrees two-theta, low angle first)
index  d/Å  Rel. int.
1 1 0  5.148  51
0 0 6  2.945  39
2 0 5  2.769  56
0 3 3  2.654  100
2 2 0  2.574  40
2 2 3  2.359  76



No. 11
Computed X-ray diffraction stick pattern
Compound: Ba3CaHg2
Radiation: Cu Kα, 1.54184 Å
Structure: DFT lattice parameters and positions (PBE)
Intensities are scaled so that the largest is 100.

Atomic structure:
Cell lengths 4.212, 4.212, 14.279 Å; angles 90.00, 90.00, 90.00 degrees
Space group P4/mmm (No. 123)
Unique sites:
Ba1 0.000 0.000 0.000 x1
Ba2 0.000 0.000 0.290 x2
Ca1 0.500 0.500 0.500 x1
Hg1 0.500 0.500 0.153 x2

Peak list (6 most intense, 10 to 90 degrees two-theta, low angle first)
index  d/Å  Rel. int.
1 0 3  3.154  100
1 1 0  2.978  55
1 0 4  2.723  35
2 0 0  2.106  21
2 1 3  1.751  37
2 1 4  1.666  16



No. 12
Computed X-ray diffraction stick pattern
Compound: KBaCa2Hg
Radiation: Cu Kα, 1.54184 Å
Structure: DFT lattice parameters and positions (PBE)
Intensities are scaled so that the largest is 100.

Atomic structure:
Cell lengths 6.176, 6.176, 6.571 Å; angles 90.00, 90.00, 90.00 degrees
Space group P4/mmm (No. 123)
Unique sites:
K1 0.000 0.000 0.000 x1
Ba1 0.500 0.500 0.000 x1
Ca1 0.000 0.500 0.500 x2
Hg1 0.500 0.500 0.500 x1

Peak list (6 most intense, 10 to 90 degrees two-theta, low angle first)
index  d/Å  Rel. int.
1 0 0  6.176  100
1 1 0  4.367  45
2 0 0  3.088  50
1 0 2  2.901  34
2 1 0  2.762  30
2 0 2  2.250  41



No. 13
Computed X-ray diffraction stick pattern
Compound: Ba3Li2Ca2Hg4
Radiation: Cu Kα, 1.54184 Å
Structure: DFT lattice parameters and positions (PBE)
Intensities are scaled so that the largest is 100.

Atomic structure:
Cell lengths 5.0994, 5.0994, 17.4662 Å; angles 90.00, 90.00, 120.00 degrees
Space group P-3m1 (No. 164)
Unique sites:
Ba1 0.0000 0.0000 0.0000 x1
Ba2 0.0000 0.0000 0.2537 x2
Li1 0.3333 0.6667 0.1315 x2
Ca1 0.3333 0.6667 0.5662 x2
Hg1 0.3333 0.6667 0.3704 x2
Hg2 0.3333 0.6667 0.8729 x2

Peak list (6 most intense, 10 to 90 degrees two-theta, low angle first)
index  d/Å  Rel. int.
0 1 2  3.941  100
0 1 4  3.105  89
1 1 0  2.550  66
1 0 6  2.431  38
2 0 4  1.970  25
1 1 8  1.658  27



No. 14
Computed X-ray diffraction stick pattern
Compound: Ba2LiCaHg6
Radiation: Cu Kα, 1.54184 Å
Structure: DFT lattice parameters and positions (PBE)
Intensities are scaled so that the largest is 100.

Atomic structure:
Cell lengths 7.370, 7.677, 7.687 Å; angles 95.11, 115.99, 115.81 degrees
Space group P-1 (No. 2)
Unique sites:
Ba1 0.001 0.282 0.218 x2
Li1 0.500 0.000 0.500 x1
Ca1 0.500 0.500 0.000 x1
Hg1 0.033 0.765 0.265 x2
Hg2 0.309 0.143 0.644 x2
Hg3 0.500 0.230 0.269 x2

Peak list (6 most intense, 10 to 90 degrees two-theta, low angle first)
index  d/Å  Rel. int.
0 0 2  3.242  95
2 -2 0  3.082  100
0 2 -2  2.834  56
-2 2 2  2.585  51
1 1 1  2.547  31
2 0 -4  1.910  36